Computed XRD peak list of Na2SmCdF8 for Cu Kα (λ = 1.5418 Å), from the GGA-PBE geometry in Alexandria.
Kinematic intensities with the Lorentz-polarization factor, no thermal factor.

Structure:
```
12
Lattice="3.8995 0.0000 0.0000 0.0000 5.5284 0.0000 0.0000 0.0000 7.8160" Properties=species:S:1:pos:R:3 pbc="T T T"
Na 0.0000 0.0000 1.9064
Na 0.0000 0.0000 5.9096
Sm 1.9498 2.7642 3.9080
Cd 1.9498 2.7642 0.0000
F 0.0000 1.4504 3.9080
F 0.0000 1.4644 0.0000
F 0.0000 4.0640 0.0000
F 0.0000 4.0780 3.9080
F 1.9498 1.4494 1.9637
F 1.9498 1.4494 5.8523
F 1.9498 4.0790 1.9637
F 1.9498 4.0790 5.8523
```

Largest 8 diffraction maxima, sorted by position, 15° ≤ 2θ ≤ 90°:
2θ 16.03, intensity 498
2θ 22.78, intensity 390
2θ 27.98, intensity 1000
2θ 36.38, intensity 208
2θ 39.96, intensity 181
2θ 46.49, intensity 655
2θ 55.12, intensity 289
2θ 55.21, intensity 145